No. 1
# NdY3Co16B4
Calculated powder diffractogram, Cu Kα X-rays. Input: a cell relaxed with PBE.
Kinematic intensities with the Lorentz-polarization factor, no thermal factor.

Largest 10 diffraction maxima, low angle first, 10 to 90 degrees two-theta:
2θ/deg, I (rel.), index
33.28, 68, 1 0 4
35.56, 23, 1 1 0
38.00, 21, 1 1 2
39.56, 17, 0 0 6
41.30, 79, 2 0 0
44.63, 100, 1 1 4
53.64, 14, 0 0 8
62.42, 21, 2 1 4
70.21, 24, 3 0 4
75.29, 24, 2 2 0

Cell and atoms:
```
24
Lattice="5.0486 0.0000 0.0000 -2.5243 4.3722 0.0000 0.0000 0.0000 13.6688" Properties=species:S:1:pos:R:3 pbc="T T T"
Nd 0.0000 0.0000 0.0000
Y 0.0000 0.0000 3.4246
Y 0.0000 0.0000 6.8344
Y 0.0000 0.0000 10.2442
Co -1.2622 2.1861 1.9868
Co -1.2622 2.1861 4.8624
Co -1.2622 2.1861 8.8064
Co -1.2622 2.1861 11.6820
Co 0.0000 2.9148 0.0000
Co 0.0000 2.9148 6.8344
Co 2.5243 0.0000 1.9868
Co 2.5243 0.0000 4.8624
Co 2.5243 0.0000 8.8064
Co 2.5243 0.0000 11.6820
Co 1.2622 2.1861 1.9868
Co 1.2622 2.1861 4.8624
Co 1.2622 2.1861 8.8064
Co 1.2622 2.1861 11.6820
Co 2.5243 1.4574 0.0000
Co 2.5243 1.4574 6.8344
B 0.0000 2.9148 3.4180
B 0.0000 2.9148 10.2508
B 2.5243 1.4574 3.4180
B 2.5243 1.4574 10.2508
```

=====

No. 2
# Pr5Co19B6
Calculated powder diffractogram, Cu Kα X-rays. Input: a cell relaxed with PBE.
Kinematic intensities with the Lorentz-polarization factor, no thermal factor.

Largest 10 diffraction maxima, low angle first, 10 to 90 degrees two-theta:
2θ/deg, I (rel.), index
19.95, 15, 1 0 0
33.72, 95, 1 0 5
34.92, 31, 1 1 0
40.54, 95, 2 0 0
44.62, 100, 1 1 5
61.86, 32, 2 1 5
69.41, 25, 3 0 5
70.91, 14, 2 0 10
73.75, 25, 2 2 0
83.60, 14, 3 1 5

Cell and atoms:
```
30
Lattice="5.1387 0.0000 0.0000 -2.5694 4.4503 0.0000 0.0000 0.0000 16.5702" Properties=species:S:1:pos:R:3 pbc="T T T"
Pr 0.0000 0.0000 0.0000
Pr 0.0000 0.0000 3.3913
Pr 0.0000 0.0000 6.7355
Pr 0.0000 0.0000 9.8347
Pr 0.0000 0.0000 13.1789
Co -1.2847 2.2251 1.4336
Co -1.2847 2.2251 5.4004
Co -1.2847 2.2251 8.2851
Co -1.2847 2.2251 11.1698
Co -1.2847 2.2251 15.1366
Co 0.0000 2.9669 3.4102
Co 0.0000 2.9669 13.1600
Co 2.5694 0.0000 1.4336
Co 2.5694 0.0000 5.4004
Co 2.5694 0.0000 8.2851
Co 2.5694 0.0000 11.1698
Co 2.5694 0.0000 15.1366
Co 1.2847 2.2251 1.4336
Co 1.2847 2.2251 5.4004
Co 1.2847 2.2251 8.2851
Co 1.2847 2.2251 11.1698
Co 1.2847 2.2251 15.1366
Co 2.5694 1.4834 3.4102
Co 2.5694 1.4834 13.1600
B 0.0000 2.9669 0.0000
B 0.0000 2.9669 6.8210
B 0.0000 2.9669 9.7492
B 2.5694 1.4834 0.0000
B 2.5694 1.4834 6.8210
B 2.5694 1.4834 9.7492
```

=====

No. 3
# Pr2Co7B3
Calculated powder diffractogram, Cu Kα X-rays. Input: a cell relaxed with PBE.
Kinematic intensities with the Lorentz-polarization factor, no thermal factor.

Largest 10 diffraction maxima, low angle first, 10 to 90 degrees two-theta:
2θ/deg, I (rel.), index
19.90, 20, 1 0 0
34.62, 95, 1 0 4
34.83, 24, 1 1 0
40.44, 100, 2 0 0
45.29, 82, 1 1 4
62.32, 34, 2 1 4
69.81, 22, 3 0 4
73.03, 13, 2 0 8
73.55, 23, 2 2 0
83.90, 15, 3 1 4

Cell and atoms:
```
24
Lattice="5.1511 0.0000 0.0000 -2.5755 4.4609 0.0000 0.0000 0.0000 12.7325" Properties=species:S:1:pos:R:3 pbc="T T T"
Pr 0.0000 0.0000 0.0000
Pr 0.0000 0.0000 3.0556
Pr 0.0000 0.0000 6.3662
Pr 0.0000 0.0000 9.6769
Co -1.2878 2.2305 1.4648
Co -1.2878 2.2305 4.3688
Co -1.2878 2.2305 8.3636
Co -1.2878 2.2305 11.2677
Co 0.0000 2.9740 6.3662
Co 2.5755 0.0000 1.4648
Co 2.5755 0.0000 4.3688
Co 2.5755 0.0000 8.3636
Co 2.5755 0.0000 11.2677
Co 1.2878 2.2305 1.4648
Co 1.2878 2.2305 4.3688
Co 1.2878 2.2305 8.3636
Co 1.2878 2.2305 11.2677
Co 2.5755 1.4870 6.3662
B 0.0000 2.9740 0.0000
B 0.0000 2.9740 2.9420
B 0.0000 2.9740 9.7905
B 2.5755 1.4870 0.0000
B 2.5755 1.4870 2.9420
B 2.5755 1.4870 9.7905
```

=====

No. 4
# PrCo4B4
Calculated powder diffractogram, Cu Kα X-rays. Input: a cell relaxed with PBE.
Kinematic intensities with the Lorentz-polarization factor, no thermal factor.

Largest 10 diffraction maxima, low angle first, 10 to 90 degrees two-theta:
2θ/deg, I (rel.), index
25.15, 18, 2 0 0
26.69, 43, 1 0 1
35.86, 13, 2 2 0
37.00, 100, 2 1 1
40.27, 71, 1 3 0
43.32, 14, 2 2 1
49.84, 14, 1 0 2
52.48, 24, 2 3 1
64.43, 13, 1 3 2
71.05, 19, 3 4 1

Cell and atoms:
```
18
Lattice="7.0823 0.0000 0.0000 0.0000 7.0823 0.0000 0.0000 0.0000 3.7879" Properties=species:S:1:pos:R:3 pbc="T T T"
Pr 1.7706 1.7706 0.9470
Pr 5.3118 5.3118 2.8409
Co 0.7615 4.4986 0.5467
Co 0.9574 6.3208 2.4407
Co 2.5838 4.3027 2.4407
Co 2.7797 6.1250 0.5467
Co 4.3027 0.9574 3.2412
Co 4.4986 2.7797 1.3473
Co 6.1250 0.7615 1.3473
Co 6.3208 2.5838 3.2412
B 0.3271 6.4590 0.5560
B 0.6234 3.8683 2.4499
B 2.9178 6.7553 2.4499
B 3.2141 4.1645 0.5560
B 3.8683 2.9178 3.2319
B 4.1645 0.3271 1.3380
B 6.4590 3.2141 1.3380
B 6.7553 0.6234 3.2319
```

=====

No. 5
# Pr2Co5B2
Calculated powder diffractogram, Cu Kα X-rays. Input: a cell relaxed with PBE.
Kinematic intensities with the Lorentz-polarization factor, no thermal factor.

Largest 10 diffraction maxima, low angle first, 10 to 90 degrees two-theta:
2θ/deg, I (rel.), index
34.36, 42, 1 1 0
36.96, 100, 1 0 7
39.89, 30, 2 0 0
40.15, 87, 2 0 1
43.89, 90, 1 1 6
63.26, 53, 2 1 7
68.19, 24, 3 0 6
72.43, 28, 2 2 0
74.04, 24, 2 0 13
84.21, 26, 3 1 7

Cell and atoms:
```
36
Lattice="5.2197 0.0000 0.0000 -2.6098 4.5204 0.0000 0.0000 0.0000 20.2002" Properties=species:S:1:pos:R:3 pbc="T T T"
Pr 0.0000 3.0136 0.4167
Pr 0.0000 3.0136 3.5239
Pr 0.0000 3.0136 6.5761
Pr 0.0000 3.0136 9.6834
Pr 2.6098 1.5068 10.5168
Pr 2.6098 1.5068 13.6240
Pr 2.6098 1.5068 16.6762
Pr 2.6098 1.5068 19.7835
Co 0.0000 0.0000 0.0000
Co 0.0000 0.0000 10.1001
Co 0.0000 1.4507 12.2965
Co 0.0000 1.4507 18.0038
Co -1.3535 3.7950 12.2965
Co -1.3535 3.7950 18.0038
Co 0.0000 1.5217 15.1501
Co -1.2920 3.7595 15.1501
Co 1.2563 0.7253 2.1964
Co 1.2563 0.7253 7.9037
Co 1.3178 0.7608 5.0500
Co 1.2920 3.7595 15.1501
Co 1.3535 3.7950 12.2965
Co 1.3535 3.7950 18.0038
Co 3.9019 0.7608 5.0500
Co 2.6098 2.9987 5.0500
Co 3.9633 0.7253 2.1964
Co 3.9633 0.7253 7.9037
Co 2.6098 3.0697 2.1964
Co 2.6098 3.0697 7.9037
B 0.0000 0.0000 3.6139
B 0.0000 0.0000 6.4862
B 0.0000 0.0000 13.7140
B 0.0000 0.0000 16.5863
B 0.0000 3.0136 13.6261
B 0.0000 3.0136 16.6741
B 2.6098 1.5068 3.5260
B 2.6098 1.5068 6.5740
```